Pr5Zn2: calculated powder diffractogram (Cu Kα X-rays), based on the PBE geometry in Alexandria.
Peak positions follow from Bragg's law for the DFT cell and can differ from measured ones.

The 10 most intense peaks (10° ≤ 2θ ≤ 90°), sorted by position:
2θ/deg	intensity	h k l
28.98	100	2 2 1
29.46	33	1 1 -2
29.76	65	5 1 0
30.01	37	1 1 2
31.78	49	4 2 0
33.91	43	4 0 -2
34.11	40	4 2 -1
35.48	43	0 2 2
35.82	50	4 0 2
55.31	33	0 0 4

Atomic structure:
```
data_Pr5Zn2
_chemical_formula_sum 'Pr20 Zn8'
_cell_length_a 16.2840
_cell_length_b 7.8096
_cell_length_c 6.6541
_cell_angle_alpha 90.00
_cell_angle_beta 93.11
_cell_angle_gamma 90.00
_symmetry_space_group_name_H-M 'C 1 2/c 1'
_symmetry_Int_Tables_number 15
loop_
_symmetry_equiv_pos_as_xyz
'x,y,z'
'-x,-y,-z'
'-x,y,-z+1/2'
'x,-y,z+1/2'
'x+1/2,y+1/2,z'
'-x+1/2,-y+1/2,-z'
'-x+1/2,y+1/2,-z+1/2'
'x+1/2,-y+1/2,z+1/2'
loop_
_atom_site_label
_atom_site_type_symbol
_atom_site_fract_x
_atom_site_fract_y
_atom_site_fract_z
_atom_site_occupancy
Pr1 Pr 0.0000 0.0328 0.2500 1
Pr2 Pr 0.0830 0.3655 0.5217 1
Pr3 Pr 0.2306 0.0786 0.7373 1
Zn1 Zn 0.1157 0.2530 0.0162 1
```

---

Pr3Zn11: calculated powder diffractogram (Cu Kα X-rays), based on the PBE geometry in Alexandria.
Peak positions follow from Bragg's law for the DFT cell and can differ from measured ones.

The 10 most intense peaks (10° ≤ 2θ ≤ 90°), sorted by position:
2θ/deg	intensity	h k l
28.03	13	1 0 3
33.48	24	0 2 4
34.72	100	1 2 3
36.29	26	1 3 0
36.43	19	0 3 3
38.77	21	1 3 2
39.82	38	2 0 0
40.31	16	0 0 6
46.08	14	1 4 1
67.85	17	1 4 7

Atomic structure:
```
data_Pr3Zn11
_chemical_formula_sum 'Pr6 Zn22'
_cell_length_a 4.5279
_cell_length_b 8.8684
_cell_length_c 13.4257
_cell_angle_alpha 90.00
_cell_angle_beta 90.00
_cell_angle_gamma 90.00
_symmetry_space_group_name_H-M 'I m m m'
_symmetry_Int_Tables_number 71
_symmetry_space_group_name_Hall '-I 2 2'
loop_
_atom_site_label
_atom_site_type_symbol
_atom_site_fract_x
_atom_site_fract_y
_atom_site_fract_z
_atom_site_occupancy
Pr1 Pr 0.0000 0.0000 0.0000 1
Pr2 Pr 0.0000 0.0000 0.2954 1
Zn1 Zn 0.0000 0.1786 0.5000 1
Zn2 Zn 0.0000 0.2812 0.1399 1
Zn3 Zn 0.0000 0.3583 0.3443 1
Zn4 Zn 0.0000 0.5000 0.0000 1
```

---

Pt: calculated powder diffractogram (Cu Kα X-rays), based on the PBE geometry in Alexandria.
Peak positions follow from Bragg's law for the DFT cell and can differ from measured ones.

The 4 most intense peaks (10° ≤ 2θ ≤ 90°), sorted by position:
2θ/deg	intensity	h k l
40.28	100	1 1 0
58.28	17	2 0 0
73.23	35	2 1 1
87.05	12	2 2 0

Atomic structure:
```
data_Pt
_chemical_formula_sum 'Pt2'
_cell_length_a 3.1663
_cell_length_b 3.1663
_cell_length_c 3.1663
_cell_angle_alpha 90.00
_cell_angle_beta 90.00
_cell_angle_gamma 90.00
_symmetry_space_group_name_H-M 'I m -3 m'
_symmetry_Int_Tables_number 229
_symmetry_space_group_name_Hall '-I 4 2 3'
loop_
_atom_site_label
_atom_site_type_symbol
_atom_site_fract_x
_atom_site_fract_y
_atom_site_fract_z
_atom_site_occupancy
Pt1 Pt 0.0000 0.0000 0.0000 1
```

---

Pt: calculated powder diffractogram (Cu Kα X-rays), based on the PBE geometry in Alexandria.
Peak positions follow from Bragg's law for the DFT cell and can differ from measured ones.

The 10 most intense peaks (10° ≤ 2θ ≤ 90°), sorted by position:
2θ/deg	intensity	h k l
25.12	6	1 0 1
33.34	7	2 1 1
40.05	100	3 0 1
46.23	17	0 0 2
46.77	32	3 3 0
67.86	21	3 3 2
68.29	10	6 0 0
81.43	13	3 0 3
82.22	25	6 3 1
86.46	11	6 0 2

Atomic structure:
```
data_Pt
_chemical_formula_sum 'Pt16'
_cell_length_a 8.2414
_cell_length_b 8.2414
_cell_length_c 3.9278
_cell_angle_alpha 90.00
_cell_angle_beta 90.00
_cell_angle_gamma 90.00
_symmetry_space_group_name_H-M 'I 4/m m m'
_symmetry_Int_Tables_number 139
_symmetry_space_group_name_Hall '-I 4 2'
loop_
_atom_site_label
_atom_site_type_symbol
_atom_site_fract_x
_atom_site_fract_y
_atom_site_fract_z
_atom_site_occupancy
Pt1 Pt 0.0000 0.3248 0.0000 1
Pt2 Pt 0.1605 0.1605 0.5000 1
```

---

Pu3Pt2: calculated powder diffractogram (Cu Kα X-rays), based on the PBE geometry in Alexandria.
Peak positions follow from Bragg's law for the DFT cell and can differ from measured ones.

The 10 most intense peaks (10° ≤ 2θ ≤ 90°), sorted by position:
2θ/deg	intensity	h k l
16.57	61	1 1 0
30.67	50	0 0 2
32.66	81	0 2 2
33.32	94	0 6 0
33.51	68	2 2 0
38.09	77	0 4 2
38.83	66	2 4 0
40.21	42	1 6 1
44.58	100	2 0 2
56.78	76	2 6 2

Atomic structure:
```
data_Pu3Pt2
_chemical_formula_sum 'Pu12 Pt8'
_cell_length_a 5.6697
_cell_length_b 16.1339
_cell_length_c 5.8309
_cell_angle_alpha 90.00
_cell_angle_beta 90.00
_cell_angle_gamma 90.00
_symmetry_space_group_name_H-M 'I b a m'
_symmetry_Int_Tables_number 72
_symmetry_space_group_name_Hall '-I 2 2c'
loop_
_atom_site_label
_atom_site_type_symbol
_atom_site_fract_x
_atom_site_fract_y
_atom_site_fract_z
_atom_site_occupancy
Pu1 Pu 0.0000 0.0000 0.2500 1
Pu2 Pu 0.2174 0.3256 0.0000 1
Pt1 Pt 0.2207 0.1451 0.0000 1
```

---

PuPt5: calculated powder diffractogram (Cu Kα X-rays), based on the PBE geometry in Alexandria.
Peak positions follow from Bragg's law for the DFT cell and can differ from measured ones.

The 10 most intense peaks (10° ≤ 2θ ≤ 90°), sorted by position:
2θ/deg	intensity	h k l
27.76	20	1 0 1
33.26	21	1 1 0
38.60	30	2 0 0
39.14	100	1 1 1
40.71	32	0 0 2
43.86	31	2 0 1
57.35	20	2 0 2
63.39	25	3 0 1
69.84	20	2 2 0
84.11	25	2 2 2

Atomic structure:
```
data_PuPt5
_chemical_formula_sum 'Pu1 Pt5'
_cell_length_a 5.3869
_cell_length_b 5.3869
_cell_length_c 4.4324
_cell_angle_alpha 90.00
_cell_angle_beta 90.00
_cell_angle_gamma 120.00
_symmetry_space_group_name_H-M 'P 6/m m m'
_symmetry_Int_Tables_number 191
_symmetry_space_group_name_Hall '-P 6 2'
loop_
_atom_site_label
_atom_site_type_symbol
_atom_site_fract_x
_atom_site_fract_y
_atom_site_fract_z
_atom_site_occupancy
Pu1 Pu 0.0000 0.0000 0.0000 1
Pt1 Pt 0.0000 0.5000 0.5000 1
Pt2 Pt 0.3333 0.6667 0.0000 1
```

---

Rb4Pu3PtS8: calculated powder diffractogram (Cu Kα X-rays), based on the PBE geometry in Alexandria.
Peak positions follow from Bragg's law for the DFT cell and can differ from measured ones.

The 10 most intense peaks (10° ≤ 2θ ≤ 90°), sorted by position:
2θ/deg	intensity	h k l
11.50	95	0 0 1
23.12	52	0 0 2
26.04	51	4 0 -2
26.59	65	2 2 0
28.15	62	4 0 0
30.40	100	2 2 -2
40.06	42	2 2 2
43.70	37	6 2 -2
45.95	24	0 4 0
53.57	20	8 0 -4

Atomic structure:
```
data_Rb4Pu3PtS8
_chemical_formula_sum 'Rb8 Pu6 Pt2 S16'
_cell_length_a 14.6213
_cell_length_b 7.9001
_cell_length_c 8.8730
_cell_angle_alpha 90.00
_cell_angle_beta 119.87
_cell_angle_gamma 90.00
_symmetry_space_group_name_H-M 'C 1 2/m 1'
_symmetry_Int_Tables_number 12
loop_
_symmetry_equiv_pos_as_xyz
'x,y,z'
'-x,-y,-z'
'-x,y,-z'
'x,-y,z'
'x+1/2,y+1/2,z'
'-x+1/2,-y+1/2,-z'
'-x+1/2,y+1/2,-z'
'x+1/2,-y+1/2,z'
loop_
_atom_site_label
_atom_site_type_symbol
_atom_site_fract_x
_atom_site_fract_y
_atom_site_fract_z
_atom_site_occupancy
Rb1 Rb 0.0000 0.0000 0.0000 1
Rb2 Rb 0.0000 0.5000 0.0000 1
Rb3 Rb 0.2500 0.2500 0.0000 1
Pu1 Pu 0.0000 0.0000 0.5000 1
Pu2 Pu 0.2500 0.2500 0.5000 1
Pt1 Pt 0.0000 0.5000 0.5000 1
S1 S 0.0263 0.2795 0.3346 1
S2 S 0.2225 0.0000 0.6901 1
S3 S 0.2309 0.0000 0.2826 1
```

---

Pu3Pt8Rh: calculated powder diffractogram (Cu Kα X-rays), based on the PBE geometry in Alexandria.
Peak positions follow from Bragg's law for the DFT cell and can differ from measured ones.

The 10 most intense peaks (10° ≤ 2θ ≤ 90°), sorted by position:
2θ/deg	intensity	h k l
20.16	5	0 0 6
33.22	28	1 1 0
39.17	100	2 0 2
40.99	40	0 2 4
47.69	5	2 0 8
59.35	10	3 0 0
63.36	32	3 0 6
69.74	28	2 2 0
83.02	11	0 4 2
84.19	16	2 0 20

Atomic structure:
```
data_Pu3Pt8Rh
_chemical_formula_sum 'Pu9 Pt24 Rh3'
_cell_length_a 5.3934
_cell_length_b 5.3934
_cell_length_c 26.4299
_cell_angle_alpha 90.00
_cell_angle_beta 90.00
_cell_angle_gamma 120.00
_symmetry_space_group_name_H-M 'R 3 m'
_symmetry_Int_Tables_number 160
_symmetry_space_group_name_Hall 'R 3 -2"'
loop_
_atom_site_label
_atom_site_type_symbol
_atom_site_fract_x
_atom_site_fract_y
_atom_site_fract_z
_atom_site_occupancy
Pu1 Pu 0.0000 0.0000 0.0000 1
Pu2 Pu 0.0000 0.0000 0.1295 1
Pu3 Pu 0.0000 0.0000 0.5158 1
Pt1 Pt 0.0000 0.0000 0.3183 1
Pt2 Pt 0.0000 0.0000 0.8187 1
Pt3 Pt 0.1669 0.3339 0.4015 1
Pt4 Pt 0.1672 0.3345 0.9022 1
Rh1 Rh 0.0000 0.0000 0.6392 1
```

---

Pu5Pt2Rh: calculated powder diffractogram (Cu Kα X-rays), based on the PBE geometry in Alexandria.
Peak positions follow from Bragg's law for the DFT cell and can differ from measured ones.

The 10 most intense peaks (10° ≤ 2θ ≤ 90°), sorted by position:
2θ/deg	intensity	h k l
28.29	25	1 2 1
32.38	100	2 1 1
33.02	75	1 4 0
33.21	56	1 3 1
35.10	74	2 2 1
37.25	38	0 4 1
41.78	49	0 0 2
50.79	18	4 2 0
53.10	24	2 6 0
54.25	38	1 4 2

Atomic structure:
```
data_Pu5Pt2Rh
_chemical_formula_sum 'Pu10 Pt4 Rh2'
_cell_length_a 7.5609
_cell_length_b 11.6373
_cell_length_c 4.3239
_cell_angle_alpha 90.00
_cell_angle_beta 90.00
_cell_angle_gamma 90.00
_symmetry_space_group_name_H-M 'P b a m'
_symmetry_Int_Tables_number 55
loop_
_symmetry_equiv_pos_as_xyz
'x,y,z'
'-x,-y,-z'
'-x,-y,z'
'x,y,-z'
'x+1/2,-y+1/2,-z'
'-x+1/2,y+1/2,z'
'-x+1/2,y+1/2,-z'
'x+1/2,-y+1/2,z'
loop_
_atom_site_label
_atom_site_type_symbol
_atom_site_fract_x
_atom_site_fract_y
_atom_site_fract_z
_atom_site_occupancy
Pu1 Pu 0.0000 0.0000 0.0000 1
Pu2 Pu 0.1466 0.2848 0.0000 1
Pu3 Pu 0.2066 0.5722 0.5000 1
Pt1 Pt 0.0848 0.8266 0.5000 1
Rh1 Rh 0.0000 0.5000 0.0000 1
```

---

PuPtRh3: calculated powder diffractogram (Cu Kα X-rays), based on the PBE geometry in Alexandria.
Peak positions follow from Bragg's law for the DFT cell and can differ from measured ones.

The 10 most intense peaks (10° ≤ 2θ ≤ 90°), sorted by position:
2θ/deg	intensity	h k l
22.85	58	0 2 0
30.90	22	0 2 2
36.15	27	0 3 1
38.13	100	2 0 2
41.73	34	0 0 4
44.91	36	2 2 2
47.10	31	0 3 3
48.88	37	2 3 1
73.91	21	2 3 5
85.39	30	2 6 2

Atomic structure:
```
data_PuPtRh3
_chemical_formula_sum 'Pu4 Pt4 Rh12'
_cell_length_a 5.6318
_cell_length_b 7.7822
_cell_length_c 8.6583
_cell_angle_alpha 90.00
_cell_angle_beta 90.00
_cell_angle_gamma 90.00
_symmetry_space_group_name_H-M 'I m m m'
_symmetry_Int_Tables_number 71
_symmetry_space_group_name_Hall '-I 2 2'
loop_
_atom_site_label
_atom_site_type_symbol
_atom_site_fract_x
_atom_site_fract_y
_atom_site_fract_z
_atom_site_occupancy
Pu1 Pu 0.0000 0.0000 0.2288 1
Pt1 Pt 0.2310 0.5000 0.0000 1
Rh1 Rh 0.0000 0.5000 0.2799 1
Rh2 Rh 0.2461 0.3260 0.5000 1
```

---

Pu6RuPt5: calculated powder diffractogram (Cu Kα X-rays), based on the PBE geometry in Alexandria.
Peak positions follow from Bragg's law for the DFT cell and can differ from measured ones.

The 10 most intense peaks (10° ≤ 2θ ≤ 90°), sorted by position:
2θ/deg	intensity	h k l
36.27	100	0 2 0
36.37	32	6 0 0
36.71	63	3 1 2
52.29	23	6 2 0
52.83	11	0 0 4
65.09	12	9 1 -2
65.24	19	3 3 -2
65.50	12	3 3 2
65.76	12	0 2 4
76.99	12	0 4 0

Atomic structure:
```
data_Pu6RuPt5
_chemical_formula_sum 'Pu12 Ru2 Pt10'
_cell_length_a 14.8235
_cell_length_b 4.9565
_cell_length_c 6.9321
_cell_angle_alpha 90.00
_cell_angle_beta 90.93
_cell_angle_gamma 90.00
_symmetry_space_group_name_H-M 'C 1 2/m 1'
_symmetry_Int_Tables_number 12
loop_
_symmetry_equiv_pos_as_xyz
'x,y,z'
'-x,-y,-z'
'-x,y,-z'
'x,-y,z'
'x+1/2,y+1/2,z'
'-x+1/2,-y+1/2,-z'
'-x+1/2,y+1/2,-z'
'x+1/2,-y+1/2,z'
loop_
_atom_site_label
_atom_site_type_symbol
_atom_site_fract_x
_atom_site_fract_y
_atom_site_fract_z
_atom_site_occupancy
Pu1 Pu 0.0022 0.0000 0.2488 1
Pu2 Pu 0.1611 0.5000 0.2388 1
Pu3 Pu 0.1635 0.5000 0.7487 1
Ru1 Ru 0.0000 0.5000 0.0000 1
Pt1 Pt 0.0000 0.5000 0.5000 1
Pt2 Pt 0.1661 0.0000 0.9915 1
Pt3 Pt 0.1753 0.0000 0.5041 1
```

---

PuRuPt: calculated powder diffractogram (Cu Kα X-rays), based on the PBE geometry in Alexandria.
Peak positions follow from Bragg's law for the DFT cell and can differ from measured ones.

The 10 most intense peaks (10° ≤ 2θ ≤ 90°), sorted by position:
2θ/deg	intensity	h k l
33.17	68	1 1 2
33.66	31	2 0 0
38.79	82	1 0 3
39.45	100	1 2 1
39.56	56	2 1 1
41.02	30	0 2 2
41.16	30	2 0 2
62.52	21	1 0 5
64.10	25	3 2 1
69.61	42	2 2 4

Atomic structure:
```
data_PuRuPt
_chemical_formula_sum 'Pu4 Ru4 Pt4'
_cell_length_a 5.3254
_cell_length_b 5.3511
_cell_length_c 7.7342
_cell_angle_alpha 90.00
_cell_angle_beta 90.00
_cell_angle_gamma 90.00
_symmetry_space_group_name_H-M 'I m m a'
_symmetry_Int_Tables_number 74
_symmetry_space_group_name_Hall '-I 2b 2'
loop_
_atom_site_label
_atom_site_type_symbol
_atom_site_fract_x
_atom_site_fract_y
_atom_site_fract_z
_atom_site_occupancy
Pu1 Pu 0.0000 0.2500 0.1244 1
Ru1 Ru 0.2500 0.2500 0.7500 1
Pt1 Pt 0.0000 0.0000 0.5000 1
```

---

Pu3Sb2Pt: calculated powder diffractogram (Cu Kα X-rays), based on the PBE geometry in Alexandria.
Peak positions follow from Bragg's law for the DFT cell and can differ from measured ones.

The 10 most intense peaks (10° ≤ 2θ ≤ 90°), sorted by position:
2θ/deg	intensity	h k l
25.71	33	2 1 1
29.27	36	2 1 2
30.17	22	3 1 1
31.38	100	0 1 3
32.34	26	4 0 2
33.30	39	3 1 2
35.57	61	4 1 1
38.00	35	3 1 3
40.61	54	0 2 0
40.74	30	2 1 4

Atomic structure:
```
data_Pu3Sb2Pt
_chemical_formula_sum 'Pu12 Sb8 Pt4'
_cell_length_a 12.7571
_cell_length_b 4.4435
_cell_length_c 11.1509
_cell_angle_alpha 90.00
_cell_angle_beta 90.00
_cell_angle_gamma 90.00
_symmetry_space_group_name_H-M 'P n m a'
_symmetry_Int_Tables_number 62
loop_
_symmetry_equiv_pos_as_xyz
'x,y,z'
'-x,-y,-z'
'-x+1/2,-y,z+1/2'
'x+1/2,y,-z+1/2'
'x+1/2,-y+1/2,-z+1/2'
'-x+1/2,y+1/2,z+1/2'
'-x,y+1/2,-z'
'x,-y+1/2,z'
loop_
_atom_site_label
_atom_site_type_symbol
_atom_site_fract_x
_atom_site_fract_y
_atom_site_fract_z
_atom_site_occupancy
Pu1 Pu 0.0474 0.2500 0.0998 1
Pu2 Pu 0.1195 0.7500 0.5454 1
Pu3 Pu 0.2482 0.2500 0.7798 1
Sb1 Sb 0.0118 0.2500 0.7126 1
Sb2 Sb 0.1974 0.7500 0.9925 1
Pt1 Pt 0.1148 0.2500 0.3530 1
```